(1)
Diffraction record for CeThSi2O8. The X-ray diffraction stick pattern is simulated, not measured: it uses the GGA-PBE geometry in Alexandria and λ = 1.5418 Å (Cu Kα).

Atomic structure:
a = 7.1287 Å, b = 7.1287 Å, c = 6.3204 Å
α = 90.00°, β = 90.00°, γ = 90.00°
Space group I-4m2 (No. 119)
Symmetry-distinct sites (fractional):
Ce 0.0000 0.0000 0.0000
Th 0.0000 0.5000 0.2500
Si 0.0000 0.0000 0.5000
Si 0.0000 0.5000 0.7500
O 0.0000 0.1759 0.3307
O 0.0000 0.3208 0.9161

Peak list (10 most intense, 2θ = 10–90°, in order of rising 2θ)
- 2θ = 18.76°, d = 4.729 Å, I 83.8, (1 0 1)
- 2θ = 24.98°, d = 3.564 Å, I 100.0, (2 0 0)
- 2θ = 31.43°, d = 2.846 Å, I 37.5, (2 1 1)
- 2θ = 33.47°, d = 2.678 Å, I 71.0, (1 1 2)
- 2θ = 35.62°, d = 2.520 Å, I 22.6, (2 2 0)
- 2θ = 40.56°, d = 2.224 Å, I 25.0, (3 0 1)
- 2θ = 44.86°, d = 2.020 Å, I 17.1, (1 0 3)
- 2θ = 48.23°, d = 1.887 Å, I 24.9, (3 2 1)
- 2θ = 49.68°, d = 1.835 Å, I 58.8, (3 1 2)
- 2θ = 62.62°, d = 1.484 Å, I 17.3, (3 3 2)

(2)
Diffraction record for Tb5P4Br. The X-ray diffraction stick pattern is simulated, not measured: it uses the GGA-PBE geometry in Alexandria and λ = 1.5418 Å (Cu Kα).

Atomic structure:
a = 13.4828 Å, b = 4.0370 Å, c = 10.0039 Å
α = 90.00°, β = 119.86°, γ = 90.00°
Space group C2/m (No. 12)
Symmetry-distinct sites (fractional):
Tb 0.0000 0.0000 0.0000
Tb 0.1125 0.5000 0.3840
Tb 0.2090 0.0000 0.8204
P 0.0951 0.5000 0.8925
P 0.2077 0.0000 0.2998
Br 0.0000 0.0000 0.5000

Peak list (10 most intense, 2θ = 10–90°, in order of rising 2θ)
- 2θ = 26.73°, d = 3.335 Å, I 15.0, (2 0 -3)
- 2θ = 26.91°, d = 3.313 Å, I 17.2, (4 0 -1)
- 2θ = 27.01°, d = 3.301 Å, I 33.6, (1 1 1)
- 2θ = 31.18°, d = 2.869 Å, I 100.0, (2 0 2)
- 2θ = 44.57°, d = 2.033 Å, I 22.6, (1 1 -4)
- 2θ = 44.79°, d = 2.024 Å, I 23.8, (5 1 0)
- 2θ = 44.91°, d = 2.019 Å, I 12.8, (0 2 0)
- 2θ = 53.03°, d = 1.727 Å, I 12.0, (2 2 -3)
- 2θ = 55.69°, d = 1.650 Å, I 13.3, (2 2 2)
- 2θ = 65.02°, d = 1.434 Å, I 10.5, (4 0 4)

(3)
Diffraction record for Zn6CuPd. The X-ray diffraction stick pattern is simulated, not measured: it uses the GGA-PBE geometry in Alexandria and λ = 1.5418 Å (Cu Kα).

Atomic structure:
a = 4.3036 Å, b = 4.3036 Å, c = 21.2865 Å
α = 90.00°, β = 90.00°, γ = 120.00°
Space group R-3m (No. 166, hexagonal axes)
Symmetry-distinct sites (fractional):
Zn 0.0000 0.0000 0.1224
Zn 0.0000 0.0000 0.2485
Zn 0.0000 0.0000 0.3731
Cu 0.0000 0.0000 0.0000
Pd 0.0000 0.0000 0.5000

Peak list (10 most intense, 2θ = 10–90°, in order of rising 2θ)
- 2θ = 12.47°, d = 7.095 Å, I 2.3, (0 0 3)
- 2θ = 24.24°, d = 3.671 Å, I 1.4, (1 0 1)
- 2θ = 25.32°, d = 3.518 Å, I 1.4, (0 1 2)
- 2θ = 38.20°, d = 2.356 Å, I 1.7, (1 0 7)
- 2θ = 41.71°, d = 2.166 Å, I 100.0, (0 1 8)
- 2θ = 41.99°, d = 2.152 Å, I 98.8, (1 1 0)
- 2θ = 60.67°, d = 1.526 Å, I 31.2, (2 0 8)
- 2θ = 75.94°, d = 1.253 Å, I 15.1, (1 0 16)
- 2θ = 76.52°, d = 1.245 Å, I 30.3, (1 2 8)
- 2θ = 76.71°, d = 1.242 Å, I 15.1, (3 0 0)

(4)
Diffraction record for Pm3NiRu. The X-ray diffraction stick pattern is simulated, not measured: it uses the GGA-PBE geometry in Alexandria and λ = 1.5418 Å (Cu Kα).

Atomic structure:
a = 6.4342 Å, b = 4.0378 Å, c = 9.5440 Å
α = 90.00°, β = 90.02°, γ = 90.00°
Space group P2_1/m (No. 11)
Symmetry-distinct sites (fractional):
Pm 0.2387 0.2500 0.0574
Pm 0.2387 0.2500 0.4425
Pm 0.2566 0.7500 0.7499
Ni 0.4437 0.7500 0.2503
Ru 0.0564 0.7500 0.2497

Peak list (10 most intense, 2θ = 10–90°, in order of rising 2θ)
- 2θ = 27.73°, d = 3.217 Å, I 20.3, (2 0 0)
- 2θ = 31.37°, d = 2.852 Å, I 35.6, (1 0 3)
- 2θ = 32.20°, d = 2.780 Å, I 100.0, (1 1 -2)
- 2θ = 35.94°, d = 2.499 Å, I 16.3, (0 1 3)
- 2θ = 36.95°, d = 2.433 Å, I 54.2, (2 1 1)
- 2θ = 44.90°, d = 2.019 Å, I 20.3, (0 2 0)
- 2θ = 51.38°, d = 1.778 Å, I 22.0, (3 0 -3)
- 2θ = 55.79°, d = 1.648 Å, I 14.1, (1 2 3)
- 2θ = 60.92°, d = 1.521 Å, I 27.3, (2 1 5)
- 2θ = 70.58°, d = 1.334 Å, I 19.9, (3 2 -3)